Entry 1:
The following is a computed XRD peak list of K2MnInI6. It was derived from a structure optimized by DFT (PBE), using Cu Ka.
Kinematic intensities with the Lorentz-polarization factor, no thermal factor.

Largest 10 diffraction maxima, low angle first, 2θ from 5° to 70°:
- 2θ 15.0, intensity 63, (0 1 2)
- 2θ 25.0, intensity 100, (1 1 3)
- 2θ 26.1, intensity 36, (2 0 2)
- 2θ 26.3, intensity 26, (0 0 6)
- 2θ 30.3, intensity 79, (0 2 4)
- 2θ 33.0, intensity 30, (2 1 1)
- 2θ 34.0, intensity 38, (2 -1 6)
- 2θ 37.2, intensity 22, (3 0 0)
- 2θ 43.5, intensity 25, (2 0 8)
- 2θ 45.3, intensity 34, (1 3 1)

Atomic structure:
```
data_K2MnInI6
_cell_length_a 8.3682
_cell_length_b 8.3682
_cell_length_c 20.3353
_cell_angle_alpha 90.00
_cell_angle_beta 90.00
_cell_angle_gamma 120.00
_space_group_name_H-M_alt 'R -3'
_space_group_IT_number 148
_space_group_name_Hall '-R 3'
loop_
_atom_site_label
_atom_site_fract_x
_atom_site_fract_y
_atom_site_fract_z
K1 0.0000 0.0000 0.2235
Mn1 0.0000 0.0000 0.0000
In1 0.0000 0.0000 0.5000
I1 0.0189 0.4299 0.7471
```

Entry 2:
The following is a computed XRD peak list of KNpIn2I8. It was derived from a structure optimized by DFT (PBE), using Cu Ka.
Kinematic intensities with the Lorentz-polarization factor, no thermal factor.

Largest 10 diffraction maxima, low angle first, 2θ from 5° to 70°:
- 2θ 9.0, intensity 29, (0 0 1)
- 2θ 14.5, intensity 25, (0 1 1)
- 2θ 16.6, intensity 56, (1 -1 0)
- 2θ 24.6, intensity 100, (1 -1 2)
- 2θ 25.9, intensity 30, (1 2 0)
- 2θ 26.0, intensity 27, (1 -2 0)
- 2θ 32.5, intensity 41, (2 1 -2)
- 2θ 32.6, intensity 39, (-2 1 2)
- 2θ 36.4, intensity 25, (0 0 4)
- 2θ 39.2, intensity 46, (0 3 -2)

Atomic structure:
```
data_KNpIn2I8
_cell_length_a 7.3099
_cell_length_b 7.7891
_cell_length_c 9.8657
_cell_angle_alpha 89.97
_cell_angle_beta 89.93
_cell_angle_gamma 89.69
_space_group_name_H-M_alt 'P -1'
_space_group_IT_number 2
_space_group_name_Hall '-P 1'
loop_
_atom_site_label
_atom_site_fract_x
_atom_site_fract_y
_atom_site_fract_z
K1 0.0000 0.0000 0.0000
Np1 0.0000 0.0000 0.5000
In1 0.4999 0.5002 0.2452
I1 0.2358 0.3190 0.5002
I2 0.2456 0.8484 0.7168
I3 0.2465 0.8494 0.2829
I4 0.2804 0.3580 0.0003
```

Entry 3:
The following is a computed XRD peak list of K3InI6O18. It was derived from a structure optimized by DFT (PBE), using Cu Ka.
Kinematic intensities with the Lorentz-polarization factor, no thermal factor.

Largest 10 diffraction maxima, low angle first, 2θ from 5° to 70°:
- 2θ 8.9, intensity 30, (0 0 1)
- 2θ 13.0, intensity 31, (0 1 0)
- 2θ 22.5, intensity 25, (-1 1 2)
- 2θ 25.6, intensity 28, (0 2 -1)
- 2θ 26.2, intensity 100, (0 2 0)
- 2θ 26.4, intensity 70, (1 0 2)
- 2θ 27.1, intensity 40, (2 -1 0)
- 2θ 27.6, intensity 73, (1 1 -3)
- 2θ 29.7, intensity 35, (-1 1 3)
- 2θ 31.8, intensity 30, (2 1 -1)

Atomic structure:
```
data_K3InI6O18
_cell_length_a 7.0533
_cell_length_b 7.2001
_cell_length_c 10.7510
_cell_angle_alpha 98.12
_cell_angle_beta 108.45
_cell_angle_gamma 103.24
_space_group_name_H-M_alt 'P -1'
_space_group_IT_number 2
_space_group_name_Hall '-P 1'
loop_
_atom_site_label
_atom_site_fract_x
_atom_site_fract_y
_atom_site_fract_z
K1 0.0000 0.0000 0.0000
K2 0.3728 0.0384 0.7937
In1 0.0000 0.5000 0.5000
I1 0.1313 0.5582 0.8782
I2 0.2203 0.9621 0.3969
I3 0.4435 0.4643 0.3059
O1 0.0077 0.8512 0.2344
O2 0.0486 0.6169 0.7091
O3 0.1173 0.4260 0.0998
O4 0.1173 0.8186 0.5054
O5 0.2911 0.8051 0.9704
O6 0.3107 0.4636 0.5388
O7 0.3884 0.1966 0.2646
O8 0.4155 0.8436 0.3759
O9 0.4345 0.4662 0.8139
```

Entry 4:
The following is a computed XRD peak list of K3InI6O18. It was derived from a structure optimized by DFT (PBE), using Cu Ka.
Kinematic intensities with the Lorentz-polarization factor, no thermal factor.

Largest 10 diffraction maxima, low angle first, 2θ from 5° to 70°:
- 2θ 13.3, intensity 34, (1 1 1)
- 2θ 26.4, intensity 57, (2 0 2)
- 2θ 26.7, intensity 47, (2 2 2)
- 2θ 27.0, intensity 100, (0 10 2)
- 2θ 27.6, intensity 27, (2 8 0)
- 2θ 30.7, intensity 23, (2 10 0)
- 2θ 31.4, intensity 24, (0 0 4)
- 2θ 44.5, intensity 37, (2 10 4)
- 2θ 44.8, intensity 13, (0 20 0)
- 2θ 52.7, intensity 13, (2 20 2)

Atomic structure:
```
data_K3InI6O18
_cell_length_a 8.3979
_cell_length_b 40.4947
_cell_length_c 11.4004
_cell_angle_alpha 90.00
_cell_angle_beta 90.00
_cell_angle_gamma 90.00
_space_group_name_H-M_alt 'F d d 2'
_space_group_IT_number 43
_space_group_name_Hall 'F 2 -2d'
loop_
_atom_site_label
_atom_site_fract_x
_atom_site_fract_y
_atom_site_fract_z
K1 0.0000 0.0000 0.0000
K2 0.0545 0.0982 0.9975
In1 0.0000 0.0000 0.4996
I1 0.0486 0.2012 0.9928
I2 0.0487 0.2022 0.5080
I3 0.0925 0.0922 0.5035
O1 0.0082 0.3496 0.6392
O2 0.0125 0.4538 0.3230
O3 0.0128 0.4535 0.6763
O4 0.0301 0.3486 0.8823
O5 0.0718 0.2356 0.8836
O6 0.0731 0.2377 0.6138
O7 0.0862 0.1663 0.8939
O8 0.0873 0.1687 0.6116
O9 0.1228 0.0466 0.5014
```

Entry 5:
The following is a computed XRD peak list of KInPbI4. It was derived from a structure optimized by DFT (PBE), using Cu Ka.
Kinematic intensities with the Lorentz-polarization factor, no thermal factor.

Largest 10 diffraction maxima, low angle first, 2θ from 5° to 70°:
- 2θ 10.0, intensity 50, (0 0 2)
- 2θ 14.9, intensity 53, (1 0 1)
- 2θ 19.9, intensity 41, (1 1 0)
- 2θ 22.3, intensity 35, (1 1 2)
- 2θ 28.2, intensity 100, (2 0 0)
- 2θ 28.9, intensity 57, (1 0 5)
- 2θ 30.3, intensity 29, (0 0 6)
- 2θ 40.3, intensity 38, (2 2 0)
- 2θ 40.8, intensity 47, (2 1 5)
- 2θ 41.9, intensity 49, (2 0 6)

Atomic structure:
```
data_KInPbI4
_cell_length_a 6.3253
_cell_length_b 6.3253
_cell_length_c 17.6827
_cell_angle_alpha 90.00
_cell_angle_beta 90.00
_cell_angle_gamma 90.00
_space_group_name_H-M_alt 'I 4 m m'
_space_group_IT_number 107
_space_group_name_Hall 'I 4 -2'
loop_
_atom_site_label
_atom_site_fract_x
_atom_site_fract_y
_atom_site_fract_z
K1 0.0000 0.0000 0.0000
In1 0.0000 0.0000 0.7318
Pb1 0.0000 0.0000 0.3695
I1 0.0000 0.0000 0.1955
I2 0.0000 0.0000 0.5597
I3 0.0000 0.5000 0.3834
```

Entry 6:
The following is a computed XRD peak list of KInPb2I8. It was derived from a structure optimized by DFT (PBE), using Cu Ka.
Kinematic intensities with the Lorentz-polarization factor, no thermal factor.

Largest 10 diffraction maxima, low angle first, 2θ from 5° to 70°:
- 2θ 16.5, intensity 40, (1 1 0)
- 2θ 17.0, intensity 41, (1 -1 0)
- 2θ 22.0, intensity 35, (1 0 -2)
- 2θ 24.7, intensity 100, (1 1 -2)
- 2θ 26.4, intensity 57, (1 -2 0)
- 2θ 32.6, intensity 55, (2 1 -2)
- 2θ 33.1, intensity 58, (-2 1 2)
- 2θ 37.1, intensity 35, (0 0 4)
- 2θ 39.7, intensity 29, (0 3 2)
- 2θ 39.7, intensity 29, (0 3 -2)

Atomic structure:
```
data_KInPb2I8
_cell_length_a 7.3062
_cell_length_b 7.7105
_cell_length_c 9.6907
_cell_angle_alpha 89.99
_cell_angle_beta 89.92
_cell_angle_gamma 88.43
_space_group_name_H-M_alt 'P -1'
_space_group_IT_number 2
_space_group_name_Hall '-P 1'
loop_
_atom_site_label
_atom_site_fract_x
_atom_site_fract_y
_atom_site_fract_z
K1 0.0000 0.0000 0.0000
In1 0.0000 0.0000 0.5000
Pb1 0.4998 0.5003 0.2558
I1 0.2298 0.3274 0.5004
I2 0.2407 0.8522 0.7158
I3 0.2417 0.8532 0.2837
I4 0.2731 0.3587 0.0002
```

Entry 7:
The following is a computed XRD peak list of KRbIn2I8. It was derived from a structure optimized by DFT (PBE), using Cu Ka.
Kinematic intensities with the Lorentz-polarization factor, no thermal factor.

Largest 10 diffraction maxima, low angle first, 2θ from 5° to 70°:
- 2θ 12.1, intensity 23, (1 0 1)
- 2θ 17.9, intensity 33, (1 0 3)
- 2θ 18.4, intensity 49, (1 1 2)
- 2θ 24.5, intensity 100, (1 1 4)
- 2θ 25.6, intensity 68, (2 1 1)
- 2θ 28.9, intensity 29, (1 2 3)
- 2θ 29.3, intensity 49, (2 0 4)
- 2θ 37.2, intensity 26, (1 3 2)
- 2θ 41.5, intensity 23, (2 3 1)
- 2θ 46.2, intensity 28, (3 1 6)

Atomic structure:
```
data_KRbIn2I8
_cell_length_a 7.9034
_cell_length_b 7.9034
_cell_length_c 19.0819
_cell_angle_alpha 90.00
_cell_angle_beta 90.00
_cell_angle_gamma 90.00
_space_group_name_H-M_alt 'I -4'
_space_group_IT_number 82
_space_group_name_Hall 'I -4'
loop_
_atom_site_label
_atom_site_fract_x
_atom_site_fract_y
_atom_site_fract_z
K1 0.0000 0.0000 0.0000
Rb1 0.0000 0.5000 0.2500
In1 0.0000 0.0000 0.5000
In2 0.0000 0.5000 0.7500
I1 0.1495 0.7483 0.8316
I2 0.1548 0.2498 0.4208
```

Entry 8:
The following is a computed XRD peak list of KInRhI2. It was derived from a structure optimized by DFT (PBE), using Cu Ka.
Kinematic intensities with the Lorentz-polarization factor, no thermal factor.

Largest 10 diffraction maxima, low angle first, 2θ from 5° to 70°:
- 2θ 26.1, intensity 100, (1 1 1)
- 2θ 27.8, intensity 61, (2 0 0)
- 2θ 34.8, intensity 17, (0 0 2)
- 2θ 39.7, intensity 23, (2 2 0)
- 2θ 45.1, intensity 32, (2 0 2)
- 2θ 48.2, intensity 37, (3 1 1)
- 2θ 53.8, intensity 19, (2 2 2)
- 2θ 57.3, intensity 11, (1 1 3)
- 2θ 65.0, intensity 10, (4 2 0)
- 2θ 68.9, intensity 9, (4 0 2)

Atomic structure:
```
data_KInRhI2
_cell_length_a 6.4182
_cell_length_b 6.4182
_cell_length_c 5.1627
_cell_angle_alpha 90.00
_cell_angle_beta 90.00
_cell_angle_gamma 90.00
_space_group_name_H-M_alt 'P 4/m m m'
_space_group_IT_number 123
_space_group_name_Hall '-P 4 2'
loop_
_atom_site_label
_atom_site_fract_x
_atom_site_fract_y
_atom_site_fract_z
K1 0.0000 0.0000 0.0000
In1 0.5000 0.5000 0.5000
Rh1 0.0000 0.0000 0.5000
I1 0.0000 0.5000 0.0000
```